Diffraction record for FeNiN. The powder X-ray diffraction pattern is computed, not measured: it uses DFT lattice parameters and positions (GGA-PBE) and Cu Kα X-rays.
Peak positions follow from Bragg's law for the DFT cell and can differ from measured ones.

a b c (Å): 2.8005 2.8005 3.7341
angles (deg): 90.00 90.00 90.00
Space group P4/mmm (No. 123)
Asymmetric unit:
Fe (0.0000, 0.0000, 0.0000) x1
Ni (0.5000, 0.5000, 0.5000) x1
N (0.5000, 0.5000, 0.0000) x1

Most intense lines, 2θ from 10° to 90°, sorted by position:
2θ 31.96, d = 2.801 Å, rel. 3, hkl 1 0 0
2θ 40.25, d = 2.240 Å, rel. 100, hkl 1 0 1
2θ 45.82, d = 1.980 Å, rel. 51, hkl 1 1 0
2θ 48.78, d = 1.867 Å, rel. 21, hkl 0 0 2
2θ 59.51, d = 1.553 Å, rel. 1, hkl 1 0 2
2θ 66.81, d = 1.400 Å, rel. 14, hkl 2 0 0
2θ 69.15, d = 1.358 Å, rel. 26, hkl 1 1 2
2θ 80.97, d = 1.187 Å, rel. 23, hkl 2 1 1
2θ 85.34, d = 1.137 Å, rel. 10, hkl 1 0 3
2θ 86.97, d = 1.120 Å, rel. 13, hkl 2 0 2